For Sr4Rh, a GGA-PBE-relaxed structure gives the theoretical X-ray powder pattern in this record (Cu Kα (weighted mean of Kα1 and Kα2)).
Kinematic intensities with the Lorentz-polarization factor, no thermal factor.

The 12 most intense peaks (2θ = 10–90°), in order of falling intensity:
2θ = 25.01°, I 100.0; 2θ = 41.41°, I 65.1; 2θ = 48.99°, I 46.5; 2θ = 28.96°, I 25.2; 2θ = 20.37°, I 23.0; 2θ = 75.53°, I 21.3; 2θ = 66.04°, I 18.6; 2θ = 12.43°, I 16.3; 2θ = 81.02°, I 13.9; 2θ = 23.93°, I 13.7; 2θ = 31.62°, I 12.0; 2θ = 60.01°, I 10.6

Structural model:
```
data_Sr4Rh
_chemical_formula_sum 'Sr8 Rh2'
_space_group_name_H-M_alt 'P 1'
_space_group_IT_number 1
_space_group_name_Hall 'P 1'
_cell_length_a 8.7209
_cell_length_b 8.7209
_cell_length_c 8.7209
_cell_angle_alpha 60.00
_cell_angle_beta 60.00
_cell_angle_gamma 60.00
loop_
_atom_site_label
_atom_site_fract_x
_atom_site_fract_y
_atom_site_fract_z
Sr1 0.2390 0.7537 0.7537
Sr2 0.2463 0.2463 0.2463
Sr3 0.2463 0.2463 0.7610
Sr4 0.2463 0.7610 0.2463
Sr5 0.7537 0.2390 0.7537
Sr6 0.7537 0.7537 0.2390
Sr7 0.7537 0.7537 0.7537
Sr8 0.7610 0.2463 0.2463
Rh1 0.3750 0.3750 0.3750
Rh2 0.6250 0.6250 0.6250
```